Theoretical powder X-ray diffraction pattern
Compound: PmHoTh
Radiation: Cu Kα
Structure: a structure optimized by DFT (PBE)
Neutral-atom scattering factors, no anomalous dispersion.

Structure:
a b c (Å): 5.6606 9.7976 7.0153
angles (deg): 90.00 90.00 90.00
Space group Cmcm (No. 63)
Asymmetric unit:
Pm 0.0000 0.1664 0.2500 [4 per cell]
Ho 0.0000 0.1663 0.7500 [4 per cell]
Th 0.0000 0.5000 0.0000 [4 per cell]

Most intense lines, 2θ from 10° to 90°, sorted by position:
2θ 31.4, I 100, (1 1 2)
2θ 31.6, I 97, (2 0 0)
2θ 45.1, I 37, (0 4 2)
2θ 56.2, I 39, (2 4 2)
2θ 56.3, I 19, (3 3 0)
2θ 62.3, I 29, (2 0 4)
2θ 66.0, I 12, (4 0 0)
2θ 74.9, I 17, (1 7 2)
2θ 80.3, I 14, (3 3 4)
2θ 88.9, I 11, (4 0 4)

=====

Theoretical powder X-ray diffraction pattern
Compound: PmDy3N4
Radiation: Cu Kα
Structure: a structure optimized by DFT (PBE)
Neutral-atom scattering factors, no anomalous dispersion.

Structure:
a b c (Å): 6.0786 7.0242 6.0773
angles (deg): 90.00 109.46 90.00
Space group P2/c (No. 13)
Asymmetric unit:
Pm 0.0000 0.1268 0.2500 [2 per cell]
Dy 0.0000 0.3758 0.7500 [2 per cell]
Dy 0.5000 0.1277 0.7500 [2 per cell]
Dy 0.5000 0.3757 0.2500 [2 per cell]
N 0.2520 0.3770 0.5042 [4 per cell]
N 0.2565 0.1308 0.9986 [4 per cell]

Most intense lines, 2θ from 10° to 90°, sorted by position:
2θ 31.2, I 100, (2 0 0)
2θ 36.2, I 72, (1 2 1)
2θ 52.1, I 50, (2 0 2)
2θ 62.0, I 45, (3 2 1)
2θ 65.1, I 17, (4 0 0)
2θ 76.8, I 8, (2 4 2)
2θ 85.2, I 19, (4 0 2)
2θ 88.0, I 22, (4 4 0)

=====

Theoretical powder X-ray diffraction pattern
Compound: HoEr6
Radiation: Cu Kα
Structure: a structure optimized by DFT (PBE)
Neutral-atom scattering factors, no anomalous dispersion.

Structure:
a b c (Å): 6.4142 6.4142 10.8482
angles (deg): 90.00 90.00 90.00
Space group P4/nbm (No. 125, origin choice 2)
Asymmetric unit:
Ho 0.2500 0.7500 0.0000 [2 per cell]
Er 0.0815 0.5815 0.3623 [8 per cell]
Er 0.2500 0.2500 0.1406 [4 per cell]

Most intense lines, 2θ from 10° to 90°, sorted by position:
2θ 29.0, I 100, (2 0 1)
2θ 31.6, I 79, (1 1 3)
2θ 32.3, I 60, (2 1 1)
2θ 33.0, I 30, (0 0 4)
2θ 35.4, I 79, (2 1 2)
2θ 37.5, I 26, (2 0 3)
2θ 39.7, I 28, (2 2 0)
2θ 56.7, I 53, (3 1 4)
2θ 62.0, I 24, (4 1 2)
2θ 67.1, I 45, (3 3 3)

=====

Theoretical powder X-ray diffraction pattern
Compound: Tb2PuHg9
Radiation: Cu Kα
Structure: a structure optimized by DFT (PBE)
Neutral-atom scattering factors, no anomalous dispersion.

Structure:
a b c (Å): 4.5765 4.7303 13.8642
angles (deg): 90.00 90.00 90.00
Space group Pmmm (No. 47)
Asymmetric unit:
Tb 0.0000 0.0000 0.1644 [2 per cell]
Pu 0.0000 0.0000 0.5000 [1 per cell]
Hg 0.0000 0.5000 0.0000 [1 per cell]
Hg 0.0000 0.5000 0.3295 [2 per cell]
Hg 0.5000 0.0000 0.0000 [1 per cell]
Hg 0.5000 0.0000 0.3284 [2 per cell]
Hg 0.5000 0.5000 0.1611 [2 per cell]
Hg 0.5000 0.5000 0.5000 [1 per cell]

Most intense lines, 2θ from 10° to 90°, sorted by position:
2θ 33.4, I 100, (1 1 3)
2θ 38.0, I 18, (0 2 0)
2θ 39.0, I 16, (0 0 6)
2θ 39.4, I 16, (2 0 0)
2θ 55.6, I 12, (0 2 6)
2θ 55.9, I 12, (2 2 0)
2θ 65.8, I 15, (1 3 3)
2θ 67.1, I 13, (1 1 9)
2θ 67.6, I 13, (3 1 3)
2θ 70.3, I 12, (2 2 6)

=====

Theoretical powder X-ray diffraction pattern
Compound: Th4ScP5
Radiation: Cu Kα
Structure: a structure optimized by DFT (PBE)
Neutral-atom scattering factors, no anomalous dispersion.

Structure:
a b c (Å): 9.1129 9.1129 5.8015
angles (deg): 90.00 90.00 90.00
Space group I4/m (No. 87)
Asymmetric unit:
Th 0.0978 0.6998 0.0000 [8 per cell]
Sc 0.0000 0.0000 0.5000 [2 per cell]
P 0.0000 0.0000 0.0000 [2 per cell]
P 0.0971 0.7119 0.5000 [8 per cell]

Most intense lines, 2θ from 10° to 90°, sorted by position:
2θ 26.7, I 100, (1 2 1)
2θ 30.8, I 33, (0 0 2)
2θ 31.0, I 67, (3 1 0)
2θ 44.3, I 50, (3 1 2)
2θ 44.5, I 25, (2 4 0)
2θ 52.4, I 17, (1 2 3)
2θ 52.6, I 33, (5 0 1)
2θ 55.1, I 26, (2 4 2)
2θ 71.1, I 14, (5 0 3)
2θ 81.8, I 17, (5 5 2)

=====

Theoretical powder X-ray diffraction pattern
Compound: La13Al2
Radiation: Cu Kα
Structure: a structure optimized by DFT (PBE)
Neutral-atom scattering factors, no anomalous dispersion.

Structure:
a b c (Å): 6.4929 8.9008 9.6967
angles (deg): 65.31 86.70 86.96
Space group P-1 (No. 2)
Asymmetric unit:
La 0.0000 0.0000 0.0000 [1 per cell]
La 0.1551 0.2159 0.2543 [2 per cell]
La 0.1928 0.4080 0.8183 [2 per cell]
La 0.2621 0.5100 0.4112 [2 per cell]
La 0.3087 0.6516 0.9991 [2 per cell]
La 0.3204 0.8400 0.5868 [2 per cell]
La 0.4973 0.0924 0.7881 [2 per cell]
Al 0.0456 0.1598 0.6274 [2 per cell]

Most intense lines, 2θ from 10° to 90°, sorted by position:
2θ 30.0, I 51, (2 -1 0)
2θ 30.3, I 100, (1 1 3)
2θ 30.4, I 53, (1 1 -2)
2θ 31.3, I 12, (1 -2 1)
2θ 33.2, I 42, (-1 2 3)
2θ 33.3, I 43, (2 2 1)
2θ 38.5, I 17, (1 -2 2)
2θ 47.6, I 12, (3 0 -2)
2θ 47.9, I 14, (1 4 4)
2θ 57.6, I 18, (-2 1 5)

=====

Theoretical powder X-ray diffraction pattern
Compound: Sc3Mn5
Radiation: Cu Kα
Structure: a structure optimized by DFT (PBE)
Neutral-atom scattering factors, no anomalous dispersion.

Structure:
a b c (Å): 5.3538 7.0491 7.0502
angles (deg): 79.26 83.14 83.38
Space group P-1 (No. 2)
Asymmetric unit:
Sc 0.2018 0.0791 0.1153 [2 per cell]
Sc 0.2020 0.6158 0.5795 [2 per cell]
Sc 0.2512 0.0685 0.5684 [2 per cell]
Mn 0.0266 0.7014 0.2016 [2 per cell]
Mn 0.2456 0.4865 0.9862 [2 per cell]
Mn 0.3294 0.3893 0.2980 [2 per cell]
Mn 0.3289 0.7974 0.8897 [2 per cell]
Mn 0.4969 0.2754 0.7757 [2 per cell]

Most intense lines, 2θ from 10° to 90°, sorted by position:
2θ 12.8, I 100, (0 1 0)
2θ 34.8, I 38, (1 2 -1)
2θ 39.1, I 96, (0 1 3)
2θ 40.1, I 86, (0 2 -2)
2θ 40.2, I 69, (-2 1 1)
2θ 40.9, I 70, (2 0 2)
2θ 41.0, I 70, (2 2 0)
2θ 44.2, I 26, (2 2 2)
2θ 44.5, I 34, (1 0 -3)
2θ 52.4, I 43, (0 4 1)

=====

Theoretical powder X-ray diffraction pattern
Compound: Cs2Hg3Te4
Radiation: Cu Kα
Structure: a structure optimized by DFT (PBE)
Neutral-atom scattering factors, no anomalous dispersion.

Structure:
a b c (Å): 14.3051 14.8630 7.6170
angles (deg): 90.00 94.95 90.00
Space group C2/c (No. 15)
Asymmetric unit:
Cs 0.1771 0.1383 0.2159 [8 per cell]
Hg 0.0000 0.1388 0.7500 [4 per cell]
Hg 0.0984 0.4200 0.3986 [8 per cell]
Te 0.0571 0.3700 0.9169 [8 per cell]
Te 0.2356 0.1168 0.7276 [8 per cell]

Most intense lines, 2θ from 10° to 90°, sorted by position:
2θ 16.7, I 26, (0 2 1)
2θ 22.0, I 37, (3 1 -1)
2θ 23.9, I 100, (0 4 0)
2θ 25.5, I 77, (1 1 2)
2θ 27.6, I 30, (2 0 2)
2θ 30.7, I 31, (1 3 2)
2θ 32.0, I 51, (5 1 0)
2θ 33.0, I 38, (4 0 -2)
2θ 37.1, I 30, (3 5 -1)
2θ 41.2, I 26, (4 4 -2)

=====

Theoretical powder X-ray diffraction pattern
Compound: ScMnN
Radiation: Cu Kα
Structure: a structure optimized by DFT (PBE)
Neutral-atom scattering factors, no anomalous dispersion.

Structure:
a b c (Å): 3.1853 3.1853 3.8230
angles (deg): 90.00 90.00 90.00
Space group P4/mmm (No. 123)
Asymmetric unit:
Sc 0.0000 0.0000 0.0000 [1 per cell]
Mn 0.5000 0.5000 0.5000 [1 per cell]
N 0.5000 0.5000 0.0000 [1 per cell]

Most intense lines, 2θ from 10° to 90°, sorted by position:
2θ 28.0, I 9, (1 0 0)
2θ 36.7, I 100, (1 0 1)
2θ 40.0, I 65, (1 1 0)
2θ 47.6, I 19, (0 0 2)
2θ 57.9, I 19, (2 0 0)
2θ 63.9, I 28, (1 1 2)
2θ 70.6, I 26, (2 1 1)
2θ 78.1, I 14, (2 0 2)
2θ 81.3, I 9, (1 0 3)
2θ 86.4, I 6, (2 2 0)

=====

Theoretical powder X-ray diffraction pattern
Compound: Ba2IrW
Radiation: Cu Kα
Structure: a structure optimized by DFT (PBE)
Neutral-atom scattering factors, no anomalous dispersion.

Structure:
a b c (Å): 4.2918 4.2918 28.1319
angles (deg): 90.00 90.00 120.00
Space group R3m (No. 160, hexagonal axes)
Asymmetric unit:
Ba 0.0000 0.0000 0.0000 [3 per cell]
Ba 0.0000 0.0000 0.1769 [3 per cell]
Ir 0.0000 0.0000 0.4277 [3 per cell]
W 0.0000 0.0000 0.7520 [3 per cell]

Most intense lines, 2θ from 10° to 90°, sorted by position:
2θ 27.1, I 100, (1 0 4)
2θ 28.6, I 38, (0 0 9)
2θ 28.8, I 88, (0 1 5)
2θ 32.8, I 81, (1 0 7)
2θ 38.4, I 32, (0 0 12)
2θ 42.1, I 86, (1 1 0)
2θ 43.3, I 47, (1 1 3)
2θ 51.7, I 45, (1 1 9)
2θ 58.0, I 24, (1 0 16)
2θ 58.3, I 58, (1 1 12)

=====

Theoretical powder X-ray diffraction pattern
Compound: K2MnBS4
Radiation: Cu Kα
Structure: a structure optimized by DFT (PBE)
Neutral-atom scattering factors, no anomalous dispersion.

Structure:
a b c (Å): 5.5586 13.1129 22.2347
angles (deg): 90.00 90.00 90.00
Space group Fddd (No. 70, origin choice 2)
Asymmetric unit:
K 0.1250 0.1250 0.3035 [16 per cell]
Mn 0.1250 0.1250 0.1250 [8 per cell]
B 0.1250 0.1250 0.6250 [8 per cell]
S 0.0824 0.2864 0.8271 [32 per cell]

Most intense lines, 2θ from 10° to 90°, sorted by position:
2θ 15.7, I 50, (0 2 2)
2θ 15.9, I 54, (0 0 4)
2θ 26.2, I 51, (1 3 1)
2θ 27.7, I 44, (0 2 6)
2θ 28.6, I 45, (1 3 3)
2θ 32.9, I 100, (1 3 5)
2θ 33.2, I 36, (1 1 7)
2θ 40.6, I 25, (2 0 6)
2θ 48.4, I 27, (0 6 6)
2θ 53.3, I 25, (2 6 0)

=====

Theoretical powder X-ray diffraction pattern
Compound: Mg5In
Radiation: Cu Kα
Structure: a structure optimized by DFT (PBE)
Neutral-atom scattering factors, no anomalous dispersion.

Structure:
a b c (Å): 5.4846 5.4846 15.8302
angles (deg): 90.00 90.00 120.00
Space group R32 (No. 155, hexagonal axes)
Asymmetric unit:
Mg 0.0000 0.0000 0.1680 [6 per cell]
Mg 0.0000 0.6656 0.0000 [9 per cell]
In 0.0000 0.0000 0.5000 [3 per cell]

Most intense lines, 2θ from 10° to 90°, sorted by position:
2θ 16.8, I 20, (0 0 3)
2θ 19.5, I 44, (1 0 1)
2θ 21.8, I 33, (0 1 2)
2θ 29.4, I 17, (1 0 4)
2θ 32.7, I 32, (1 1 0)
2θ 34.0, I 37, (0 0 6)
2θ 36.9, I 100, (1 1 3)
2θ 47.8, I 25, (1 1 6)
2θ 62.8, I 20, (1 1 9)
2θ 69.2, I 19, (3 0 6)